Diffraction record for Tm3Tl4BiSe8. The PXRD pattern is computed, not measured: it uses a DFT-relaxed cell (GGA-PBE, Alexandria) and Cu Kα (λ = 1.5418 Å).
Peak positions follow from Bragg's law for the DFT cell and can differ from measured ones.

Largest 12 diffraction maxima, low angle first, 2θ from 10° to 80°:
two_theta  d [Å]  I (rel.)
22.95  3.875  12
25.76  3.459  23
29.04  3.075  100
39.76  2.267  38
43.25  2.092  35
46.40  1.957  8
49.52  1.841  10
52.95  1.729  19
60.20  1.537  11
65.69  1.421  14
70.68  1.333  16
76.98  1.239  11

```
Tm3Tl4BiSe8
1.0
4.183 2.415 7.750
-4.183 2.415 7.750
0.000 -4.830 7.750
Tm Tl Bi Se
3 4 1 8
Direct
0.000 0.500 0.500 Tm
0.500 0.000 0.500 Tm
0.500 0.500 0.000 Tm
0.000 0.000 0.500 Tl
0.000 0.500 0.000 Tl
0.500 0.000 0.000 Tl
0.500 0.500 0.500 Tl
0.000 0.000 0.000 Bi
0.240 0.240 0.725 Se
0.240 0.725 0.240 Se
0.267 0.267 0.267 Se
0.275 0.760 0.760 Se
0.725 0.240 0.240 Se
0.733 0.733 0.733 Se
0.760 0.275 0.760 Se
0.760 0.760 0.275 Se
```

***

Diffraction record for Tm3BiSe. The PXRD pattern is computed, not measured: it uses a DFT-relaxed cell (GGA-PBE, Alexandria) and Cu Kα (λ = 1.5418 Å).
Peak positions follow from Bragg's law for the DFT cell and can differ from measured ones.

Largest 12 diffraction maxima, low angle first, 2θ from 10° to 80°:
two_theta  d [Å]  I (rel.)
29.03  3.076  54
29.31  3.047  74
30.70  2.912  43
31.17  2.869  94
31.75  2.819  38
33.29  2.692  85
33.92  2.643  100
34.46  2.603  54
35.50  2.529  34
35.54  2.526  39
38.05  2.365  51
39.42  2.286  28

```
Tm3BiSe
1.0
8.803 0.000 0.000
0.000 6.617 0.000
-3.784 0.000 9.728
Tm Bi Se
12 4 4
Direct
0.036 0.119 0.322 Tm
0.036 0.381 0.822 Tm
0.192 0.570 0.531 Tm
0.192 0.930 0.031 Tm
0.405 0.168 0.848 Tm
0.405 0.332 0.348 Tm
0.595 0.668 0.652 Tm
0.595 0.832 0.152 Tm
0.808 0.070 0.969 Tm
0.808 0.430 0.469 Tm
0.964 0.619 0.178 Tm
0.964 0.881 0.678 Tm
0.350 0.674 0.846 Bi
0.350 0.826 0.346 Bi
0.650 0.174 0.654 Bi
0.650 0.326 0.154 Bi
0.109 0.205 0.603 Se
0.109 0.295 0.103 Se
0.891 0.705 0.897 Se
0.891 0.795 0.397 Se
```

***

Diffraction record for Tm3Bi2Se. The PXRD pattern is computed, not measured: it uses a DFT-relaxed cell (GGA-PBE, Alexandria) and Cu Kα (λ = 1.5418 Å).
Peak positions follow from Bragg's law for the DFT cell and can differ from measured ones.

Largest 12 diffraction maxima, low angle first, 2θ from 10° to 80°:
two_theta  d [Å]  I (rel.)
29.26  3.053  100
29.48  3.030  46
32.19  2.781  10
41.85  2.159  38
42.01  2.151  72
52.02  1.758  39
60.67  1.526  13
68.76  1.365  18
68.88  1.363  17
69.23  1.357  14
76.54  1.245  25
76.87  1.240  11

```
Tm3Bi2Se
1.0
4.317 0.000 0.000
0.000 4.317 0.000
0.000 0.000 18.181
Tm Bi Se
6 4 2
Direct
0.000 0.000 0.000 Tm
0.000 0.000 0.344 Tm
0.000 0.000 0.656 Tm
0.500 0.500 0.156 Tm
0.500 0.500 0.500 Tm
0.500 0.500 0.844 Tm
0.000 0.000 0.169 Bi
0.000 0.000 0.831 Bi
0.500 0.500 0.331 Bi
0.500 0.500 0.669 Bi
0.000 0.000 0.500 Se
0.500 0.500 0.000 Se
```

***

Diffraction record for Tm4Bi5Se. The PXRD pattern is computed, not measured: it uses a DFT-relaxed cell (GGA-PBE, Alexandria) and Cu Kα (λ = 1.5418 Å).
Peak positions follow from Bragg's law for the DFT cell and can differ from measured ones.

Largest 12 diffraction maxima, low angle first, 2θ from 10° to 80°:
two_theta  d [Å]  I (rel.)
13.49  6.562  14
24.24  3.672  21
28.91  3.088  29
30.12  2.967  48
31.61  2.831  100
32.76  2.734  26
34.25  2.618  19
36.87  2.438  43
41.31  2.186  32
44.57  2.033  21
51.97  1.760  20
72.38  1.306  15

```
Tm4Bi5Se
1.0
9.060 -2.186 0.000
9.060 2.186 0.000
-1.529 0.000 7.911
Tm Bi Se
4 5 1
Direct
0.040 0.040 0.243 Tm
0.348 0.348 0.062 Tm
0.652 0.652 0.938 Tm
0.960 0.960 0.757 Tm
0.133 0.133 0.642 Bi
0.204 0.204 0.216 Bi
0.500 0.500 0.500 Bi
0.796 0.796 0.784 Bi
0.867 0.867 0.358 Bi
0.500 0.500 0.000 Se
```

***

Diffraction record for TmBi2Se4. The PXRD pattern is computed, not measured: it uses a DFT-relaxed cell (GGA-PBE, Alexandria) and Cu Kα (λ = 1.5418 Å).
Peak positions follow from Bragg's law for the DFT cell and can differ from measured ones.

Largest 12 diffraction maxima, low angle first, 2θ from 10° to 80°:
two_theta  d [Å]  I (rel.)
22.77  3.906  100
23.77  3.743  40
28.61  3.121  26
29.23  3.055  33
29.97  2.982  56
32.07  2.791  75
40.30  2.238  36
40.77  2.213  45
41.18  2.192  48
46.51  1.952  31
47.07  1.931  26
64.28  1.449  48

```
TmBi2Se4
1.0
1.931 -7.492 0.000
1.931 7.492 0.000
0.000 0.000 13.730
Tm Bi Se
2 4 8
Direct
0.113 0.887 0.750 Tm
0.887 0.113 0.250 Tm
0.367 0.633 0.572 Bi
0.367 0.633 0.928 Bi
0.633 0.367 0.072 Bi
0.633 0.367 0.428 Bi
0.000 0.000 0.000 Se
0.000 0.000 0.500 Se
0.297 0.703 0.125 Se
0.297 0.703 0.375 Se
0.477 0.523 0.750 Se
0.523 0.477 0.250 Se
0.703 0.297 0.625 Se
0.703 0.297 0.875 Se
```

***

Diffraction record for BiW4Se7. The PXRD pattern is computed, not measured: it uses a DFT-relaxed cell (GGA-PBE, Alexandria) and Cu Kα (λ = 1.5418 Å).
Peak positions follow from Bragg's law for the DFT cell and can differ from measured ones.

Largest 12 diffraction maxima, low angle first, 2θ from 10° to 80°:
two_theta  d [Å]  I (rel.)
21.38  4.157  71
22.73  3.912  35
25.39  3.508  31
31.45  2.845  49
32.98  2.716  30
35.50  2.528  31
37.89  2.374  100
39.15  2.301  31
39.47  2.283  48
43.60  2.076  83
49.26  1.850  30
51.36  1.779  34

```
BiW4Se7
1.0
18.265 0.000 0.000
0.000 5.106 0.000
0.000 0.000 5.689
Bi W Se
2 8 14
Direct
0.000 0.157 0.000 Bi
0.500 0.843 0.500 Bi
0.142 0.684 0.574 W
0.239 0.640 0.182 W
0.261 0.360 0.682 W
0.358 0.316 0.074 W
0.642 0.316 0.074 W
0.739 0.360 0.682 W
0.761 0.640 0.182 W
0.858 0.684 0.574 W
0.000 0.708 0.690 Se
0.099 0.689 0.168 Se
0.127 0.207 0.679 Se
0.242 0.162 0.262 Se
0.258 0.838 0.762 Se
0.373 0.793 0.179 Se
0.401 0.311 0.668 Se
0.500 0.292 0.190 Se
0.599 0.311 0.668 Se
0.627 0.793 0.179 Se
0.742 0.838 0.762 Se
0.758 0.162 0.262 Se
0.873 0.207 0.679 Se
0.901 0.689 0.168 Se
```

***

Diffraction record for YBiSe3. The PXRD pattern is computed, not measured: it uses a DFT-relaxed cell (GGA-PBE, Alexandria) and Cu Kα (λ = 1.5418 Å).
Peak positions follow from Bragg's law for the DFT cell and can differ from measured ones.

Largest 12 diffraction maxima, low angle first, 2θ from 10° to 80°:
two_theta  d [Å]  I (rel.)
14.52  6.102  80
25.28  3.523  22
28.19  3.165  46
28.77  3.103  32
29.27  3.051  15
35.64  2.519  100
38.67  2.329  16
44.54  2.034  44
46.76  1.943  18
58.30  1.583  24
69.72  1.349  23
76.22  1.249  22

```
YBiSe3
1.0
7.046 0.000 0.000
-3.523 6.102 0.000
0.000 0.000 7.207
Y Bi Se
2 2 6
Direct
0.000 0.000 0.000 Y
0.000 0.000 0.500 Y
0.333 0.667 0.000 Bi
0.333 0.667 0.500 Bi
0.002 0.324 0.250 Se
0.002 0.678 0.750 Se
0.322 0.324 0.750 Se
0.322 0.998 0.250 Se
0.676 0.678 0.250 Se
0.676 0.998 0.750 Se
```

***

Diffraction record for Y4Bi3Se. The PXRD pattern is computed, not measured: it uses a DFT-relaxed cell (GGA-PBE, Alexandria) and Cu Kα (λ = 1.5418 Å).
Peak positions follow from Bragg's law for the DFT cell and can differ from measured ones.

Largest 12 diffraction maxima, low angle first, 2θ from 10° to 80°:
two_theta  d [Å]  I (rel.)
12.34  7.172  4
23.77  3.744  5
24.83  3.585  18
28.75  3.105  100
31.40  2.849  3
41.12  2.195  76
48.63  1.872  10
50.94  1.793  27
59.55  1.552  13
65.52  1.425  5
67.45  1.389  35
74.92  1.268  26

```
Y4Bi3Se
1.0
8.788 0.000 0.000
0.000 12.412 0.000
0.000 0.000 4.390
Y Bi Se
8 6 2
Direct
0.000 0.245 0.000 Y
0.000 0.755 0.000 Y
0.241 0.000 0.500 Y
0.259 0.500 0.500 Y
0.500 0.255 0.000 Y
0.500 0.745 0.000 Y
0.741 0.500 0.500 Y
0.759 0.000 0.500 Y
0.000 0.500 0.000 Bi
0.250 0.250 0.500 Bi
0.250 0.750 0.500 Bi
0.500 0.000 0.000 Bi
0.750 0.250 0.500 Bi
0.750 0.750 0.500 Bi
0.000 0.000 0.000 Se
0.500 0.500 0.000 Se
```

***

Diffraction record for Y6Bi5Se. The PXRD pattern is computed, not measured: it uses a DFT-relaxed cell (GGA-PBE, Alexandria) and Cu Kα (λ = 1.5418 Å).
Peak positions follow from Bragg's law for the DFT cell and can differ from measured ones.

Largest 12 diffraction maxima, low angle first, 2θ from 10° to 80°:
two_theta  d [Å]  I (rel.)
24.63  3.614  6
24.67  3.608  16
28.56  3.126  100
40.83  2.210  77
48.28  1.885  12
50.58  1.805  27
59.11  1.563  13
65.05  1.434  4
66.93  1.398  30
67.00  1.397  6
74.30  1.276  18
74.38  1.275  9

```
Y6Bi5Se
1.0
3.832 -6.624 0.000
3.832 6.624 0.000
-2.552 0.000 7.219
Y Bi Se
6 5 1
Direct
0.081 0.404 0.743 Y
0.240 0.240 0.250 Y
0.404 0.081 0.743 Y
0.596 0.919 0.257 Y
0.760 0.760 0.750 Y
0.919 0.596 0.257 Y
0.171 0.829 0.000 Bi
0.334 0.666 0.500 Bi
0.500 0.500 0.000 Bi
0.666 0.334 0.500 Bi
0.829 0.171 0.000 Bi
0.000 0.000 0.500 Se
```

***

Diffraction record for Si23Bi4. The PXRD pattern is computed, not measured: it uses a DFT-relaxed cell (GGA-PBE, Alexandria) and Cu Kα (λ = 1.5418 Å).
Peak positions follow from Bragg's law for the DFT cell and can differ from measured ones.

Largest 12 diffraction maxima, low angle first, 2θ from 10° to 80°:
two_theta  d [Å]  I (rel.)
17.33  5.118  20
19.39  4.577  53
21.26  4.179  46
30.25  2.955  24
31.52  2.839  47
32.74  2.736  100
35.07  2.559  28
40.38  2.234  18
47.86  1.901  21
53.73  1.706  17
55.33  1.660  38
67.21  1.393  17

```
Si23Bi4
1.0
10.235 0.000 0.000
0.000 10.235 0.000
0.000 0.000 10.235
Si Bi
46 8
Direct
0.000 0.117 0.311 Si
0.000 0.117 0.689 Si
0.000 0.250 0.500 Si
0.000 0.750 0.500 Si
0.000 0.883 0.311 Si
0.000 0.883 0.689 Si
0.117 0.311 0.000 Si
0.117 0.689 0.000 Si
0.183 0.183 0.183 Si
0.183 0.183 0.817 Si
0.183 0.817 0.183 Si
0.183 0.817 0.817 Si
0.189 0.383 0.500 Si
0.189 0.617 0.500 Si
0.250 0.500 0.000 Si
0.311 0.000 0.117 Si
0.311 0.000 0.883 Si
0.317 0.317 0.317 Si
0.317 0.317 0.683 Si
0.317 0.683 0.317 Si
0.317 0.683 0.683 Si
0.383 0.500 0.189 Si
0.383 0.500 0.811 Si
0.500 0.000 0.250 Si
0.500 0.000 0.750 Si
0.500 0.189 0.383 Si
0.500 0.189 0.617 Si
0.500 0.811 0.383 Si
0.500 0.811 0.617 Si
0.617 0.500 0.189 Si
0.617 0.500 0.811 Si
0.683 0.317 0.317 Si
0.683 0.317 0.683 Si
0.683 0.683 0.317 Si
0.683 0.683 0.683 Si
0.689 0.000 0.117 Si
0.689 0.000 0.883 Si
0.750 0.500 0.000 Si
0.811 0.383 0.500 Si
0.811 0.617 0.500 Si
0.817 0.183 0.183 Si
0.817 0.183 0.817 Si
0.817 0.817 0.183 Si
0.817 0.817 0.817 Si
0.883 0.311 0.000 Si
0.883 0.689 0.000 Si
0.000 0.000 0.000 Bi
0.000 0.500 0.250 Bi
0.000 0.500 0.750 Bi
0.250 0.000 0.500 Bi
0.500 0.250 0.000 Bi
0.500 0.500 0.500 Bi
0.500 0.750 0.000 Bi
0.750 0.000 0.500 Bi
```

***

Diffraction record for SiBi. The PXRD pattern is computed, not measured: it uses a DFT-relaxed cell (GGA-PBE, Alexandria) and Cu Kα (λ = 1.5418 Å).
Peak positions follow from Bragg's law for the DFT cell and can differ from measured ones.

Largest 12 diffraction maxima, low angle first, 2θ from 10° to 80°:
two_theta  d [Å]  I (rel.)
17.94  4.944  45
27.06  3.296  71
28.10  3.176  57
29.43  3.035  100
29.61  3.017  95
29.71  3.007  17
33.33  2.688  28
33.44  2.680  27
33.83  2.649  27
49.72  1.834  47
57.95  1.592  19
58.78  1.571  19

```
SiBi
1.0
3.667 0.000 0.000
1.831 3.178 0.000
0.136 0.121 9.887
Si Bi
2 2
Direct
0.168 0.168 0.455 Si
0.832 0.832 0.545 Si
0.173 0.179 0.182 Bi
0.827 0.821 0.818 Bi
```

***

Diffraction record for SiBi. The PXRD pattern is computed, not measured: it uses a DFT-relaxed cell (GGA-PBE, Alexandria) and Cu Kα (λ = 1.5418 Å).
Peak positions follow from Bragg's law for the DFT cell and can differ from measured ones.

Largest 12 diffraction maxima, low angle first, 2θ from 10° to 80°:
two_theta  d [Å]  I (rel.)
14.51  6.106  34
19.89  4.465  31
27.67  3.224  83
28.05  3.181  100
30.86  2.898  60
31.26  2.861  55
32.25  2.776  96
38.10  2.362  47
44.52  2.035  25
47.03  1.932  34
47.48  1.915  35
57.09  1.613  32

```
SiBi
1.0
4.625 0.000 0.000
0.000 3.727 0.000
-1.654 0.000 6.106
Si Bi
2 2
Direct
0.153 0.250 0.485 Si
0.847 0.750 0.515 Si
0.340 0.750 0.169 Bi
0.660 0.250 0.831 Bi
```